For Li2Cr2FeSbO8, a GGA+U-relaxed structure gives the computed X-ray powder pattern in this record (Cu Kα X-rays).
Intensities are scaled so that the largest is 100.

The 8 most intense peaks (10 to 90 degrees two-theta), low angle first:
2θ 19.43, d = 4.569 Å, rel. 100
2θ 25.19, d = 3.536 Å, rel. 31
2θ 32.68, d = 2.740 Å, rel. 18
2θ 32.75, d = 2.734 Å, rel. 18
2θ 35.20, d = 2.550 Å, rel. 16
2θ 35.31, d = 2.542 Å, rel. 34
2θ 35.90, d = 2.501 Å, rel. 19
2θ 44.90, d = 2.019 Å, rel. 24

Structure:
Cell lengths 5.9909, 5.9909, 9.6689 Å; angles 90.18, 90.18, 59.83 degrees
Sites, in units of the cell vectors:
Li  0.0000  0.0000  0.0000
Li  0.0005  0.0005  0.5012
Li  0.3335  0.3335  0.4126
Li  0.6659  0.6659  0.9163
Cr  0.1722  0.1722  0.7237
Cr  0.3392  0.8299  0.2240
Cr  0.8299  0.3392  0.2240
Cr  0.8297  0.8297  0.2241
Fe  0.1716  0.6609  0.7242
Fe  0.6609  0.1716  0.7242
Sb  0.3324  0.3324  0.9991
Sb  0.6673  0.6673  0.4963
O  0.9997  0.9997  0.3159
O  0.0010  0.0010  0.8131
O  0.0371  0.4788  0.8556
O  0.1637  0.6689  0.1057
O  0.1647  0.1647  0.1058
O  0.3346  0.8357  0.6052
O  0.3361  0.3361  0.6170
O  0.4788  0.0371  0.8556
O  0.4812  0.4812  0.8598
O  0.5181  0.9629  0.3527
O  0.5187  0.5187  0.3534
O  0.6662  0.6662  0.1199
O  0.6689  0.1637  0.1057
O  0.8330  0.8330  0.6045
O  0.8357  0.3346  0.6052
O  0.9629  0.5181  0.3527